(1)
For RbBe2F5, a GGA-PBE-relaxed structure gives the theoretical powder XRD pattern in this record (Cu Kα, 1.54184 Å).

Crystal structure
```
data_RbBe2F5
_cell_length_a 4.6887
_cell_length_b 4.7348
_cell_length_c 6.8124
_cell_angle_alpha 104.85
_cell_angle_beta 93.16
_cell_angle_gamma 119.23
_symmetry_space_group_name_H-M 'P 1'
_symmetry_Int_Tables_number 1
loop_
_symmetry_equiv_pos_as_xyz
'x,y,z'
loop_
_atom_site_label
_atom_site_type_symbol
_atom_site_fract_x
_atom_site_fract_y
_atom_site_fract_z
_atom_site_occupancy
Rb1 Rb 0.0000 0.0000 0.0000 1
Be1 Be 0.2107 0.5103 0.5991 1
Be2 Be 0.7867 0.4886 0.4003 1
F1 F 0.1412 0.7929 0.5494 1
F2 F 0.2629 0.5565 0.8259 1
F3 F 0.4976 0.4989 0.4985 1
F4 F 0.7370 0.4428 0.1734 1
F5 F 0.8553 0.2061 0.4507 1
```

Largest 10 diffraction maxima, in order of falling intensity, 5 to 70 degrees two-theta:
2theta  d (Å)  intensity
22.46  3.959  100
28.71  3.110  70
27.74  3.216  64
27.47  3.247  64
22.24  3.997  64
38.22  2.355  58
37.80  2.380  46
41.79  2.161  43
40.26  2.240  41
39.78  2.266  39

=====

(2)
For In2Ag4Au3, a GGA-PBE-relaxed structure gives the theoretical powder XRD pattern in this record (Cu Kα, 1.54184 Å).

Crystal structure
```
data_In2Ag4Au3
_cell_length_a 5.0986
_cell_length_b 5.2358
_cell_length_c 7.7719
_cell_angle_alpha 89.54
_cell_angle_beta 71.96
_cell_angle_gamma 61.06
_symmetry_space_group_name_H-M 'P -1'
_symmetry_Int_Tables_number 2
loop_
_symmetry_equiv_pos_as_xyz
'x,y,z'
'-x,-y,-z'
loop_
_atom_site_label
_atom_site_type_symbol
_atom_site_fract_x
_atom_site_fract_y
_atom_site_fract_z
_atom_site_occupancy
In1 In 0.1173 0.2596 0.3251 1
Ag1 Ag 0.3325 0.8274 0.9999 1
Ag2 Ag 0.4459 0.6007 0.3326 1
Au1 Au 0.0000 0.5000 0.0000 1
Au2 Au 0.2209 0.0634 0.6693 1
```

Largest 10 diffraction maxima, in order of falling intensity, 5 to 70 degrees two-theta:
2theta  d (Å)  intensity
36.24  2.479  100
36.92  2.434  97
37.04  2.427  95
37.14  2.421  95
41.59  2.171  69
43.00  2.103  62
43.76  2.069  59
60.68  1.526  22
62.05  1.496  21
61.43  1.509  21

=====

Question: Which formula does entry 1 have?
Answer: RbBe2F5

=====

Please write out number 1 again, unchanged.
For RbBe2F5, a GGA-PBE-relaxed structure gives the theoretical powder XRD pattern in this record (Cu Kα, 1.54184 Å).

Crystal structure
```
data_RbBe2F5
_cell_length_a 4.6887
_cell_length_b 4.7348
_cell_length_c 6.8124
_cell_angle_alpha 104.85
_cell_angle_beta 93.16
_cell_angle_gamma 119.23
_symmetry_space_group_name_H-M 'P 1'
_symmetry_Int_Tables_number 1
loop_
_symmetry_equiv_pos_as_xyz
'x,y,z'
loop_
_atom_site_label
_atom_site_type_symbol
_atom_site_fract_x
_atom_site_fract_y
_atom_site_fract_z
_atom_site_occupancy
Rb1 Rb 0.0000 0.0000 0.0000 1
Be1 Be 0.2107 0.5103 0.5991 1
Be2 Be 0.7867 0.4886 0.4003 1
F1 F 0.1412 0.7929 0.5494 1
F2 F 0.2629 0.5565 0.8259 1
F3 F 0.4976 0.4989 0.4985 1
F4 F 0.7370 0.4428 0.1734 1
F5 F 0.8553 0.2061 0.4507 1
```

Largest 10 diffraction maxima, in order of falling intensity, 5 to 70 degrees two-theta:
2theta  d (Å)  intensity
22.46  3.959  100
28.71  3.110  70
27.74  3.216  64
27.47  3.247  64
22.24  3.997  64
38.22  2.355  58
37.80  2.380  46
41.79  2.161  43
40.26  2.240  41
39.78  2.266  39